Theoretical powder diffractogram
Compound: K2P2WO9
Radiation: Cu Ka
Structure: a structure optimized by DFT (GGA+U)
Lines closer than 0.1° are merged.

Cell and atoms:
a b c (Å): 14.2197 8.2872 15.7773
angles (deg): 90.00 100.21 90.00
Space group C2/c (No. 15)
Unique sites:
K  0.1442  0.1581  0.2337 (multiplicity 8)
K  0.1552  0.0632  0.9682 (multiplicity 8)
P  0.0406  0.3120  0.4216 (multiplicity 8)
P  0.1289  0.4109  0.8481 (multiplicity 8)
W  0.1091  0.3548  0.6378 (multiplicity 8)
O  0.0325  0.1643  0.3661 (multiplicity 8)
O  0.0400  0.3140  0.8603 (multiplicity 8)
O  0.0491  0.4186  0.0884 (multiplicity 8)
O  0.0721  0.2624  0.5180 (multiplicity 8)
O  0.1167  0.4714  0.7524 (multiplicity 8)
O  0.1288  0.4222  0.4021 (multiplicity 8)
O  0.1387  0.1641  0.6856 (multiplicity 8)
O  0.2222  0.3298  0.8813 (multiplicity 8)
O  0.2228  0.4243  0.6213 (multiplicity 8)

Top 10 peaks for 2θ = 10–80°, in order of rising 2θ:
Position (°2θ)	d [Å]	I (rel.)	hkl
12.4	7.131	100	1 1 0
14.1	6.269	76	1 1 1
15.5	5.727	37	2 0 -2
20.3	4.381	29	1 1 -3
21.7	4.090	61	3 1 -1
22.2	4.004	74	0 2 1
22.9	3.882	36	0 0 4
25.1	3.546	38	2 2 -1
25.5	3.499	42	4 0 0
30.0	2.981	31	3 1 3